1.
This entry pairs a crystal structure of Pr6Bi5Pb with its computed powder XRD pattern. Radiation: λ = 1.5418 Å (Cu Kα). Structure: a cell relaxed with PBE.

Structural model:
Lattice parameters (Å, degrees): 8.0270 13.9012 8.0305 90.00 109.52 90.00
Space group C2/m (No. 12)
Symmetry-distinct sites (fractional):
Pr (0.2495, 0.1667, 0.2489) [8 per cell]
Pr (0.2498, 0.0000, 0.7497) [4 per cell]
Bi (0.0000, 0.1677, 0.5000) [4 per cell]
Bi (0.0000, 0.3337, 0.0000) [4 per cell]
Bi (0.0000, 0.5000, 0.5000) [2 per cell]
Pb (0.0000, 0.0000, 0.0000) [2 per cell]

Principal peaks in the range 2θ from 15° to 90°, sorted by position:
2θ 23.51, rel. 60
2θ 27.21, rel. 1000
2θ 38.86, rel. 789
2θ 45.92, rel. 36
2θ 48.09, rel. 289
2θ 56.13, rel. 137
2θ 63.48, rel. 381
2θ 70.37, rel. 283
2θ 83.42, rel. 92
2θ 89.78, rel. 186


2.
This entry pairs a crystal structure of Pr4BiPb with its computed powder XRD pattern. Radiation: λ = 1.5418 Å (Cu Kα). Structure: a cell relaxed with PBE.

Structural model:
Lattice parameters (Å, degrees): 9.2912 14.7082 6.5704 90.00 115.40 90.00
Space group C2/c (No. 15)
Symmetry-distinct sites (fractional):
Pr (0.1062, 0.1904, 0.0703) [8 per cell]
Pr (0.1932, 0.4167, 0.3188) [8 per cell]
Bi (0.0000, 0.3809, 0.7500) [4 per cell]
Pb (0.0000, 0.0018, 0.7500) [4 per cell]

Principal peaks in the range 2θ from 15° to 90°, sorted by position:
2θ 28.42, rel. 311
2θ 28.56, rel. 317
2θ 29.51, rel. 836
2θ 30.97, rel. 407
2θ 32.25, rel. 1000
2θ 32.54, rel. 534
2θ 32.90, rel. 712
2θ 33.30, rel. 796
2θ 36.99, rel. 298
2θ 58.12, rel. 323


3.
This entry pairs a crystal structure of Bi5Pt3Pb with its computed powder XRD pattern. Radiation: λ = 1.5418 Å (Cu Kα). Structure: a cell relaxed with PBE.

Structural model:
Lattice parameters (Å, degrees): 6.9112 4.2104 16.9878 90.00 90.54 90.00
Space group P2/m (No. 10)
Symmetry-distinct sites (fractional):
Bi (0.1330, 0.0000, 0.4061) [2 per cell]
Bi (0.1393, 0.0000, 0.0719) [2 per cell]
Bi (0.3607, 0.5000, 0.2403) [2 per cell]
Bi (0.3644, 0.5000, 0.5722) [2 per cell]
Bi (0.3659, 0.5000, 0.9043) [2 per cell]
Pt (0.0000, 0.5000, 0.5000) [1 per cell]
Pt (0.0018, 0.5000, 0.1644) [2 per cell]
Pt (0.4962, 0.0000, 0.3351) [2 per cell]
Pt (0.5000, 0.0000, 0.0000) [1 per cell]
Pb (0.1442, 0.0000, 0.7410) [2 per cell]

Principal peaks in the range 2θ from 15° to 90°, sorted by position:
2θ 26.38, rel. 1000
2θ 29.36, rel. 947
2θ 29.49, rel. 966
2θ 30.17, rel. 752
2θ 30.43, rel. 742
2θ 40.45, rel. 849
2θ 40.66, rel. 814
2θ 42.96, rel. 680
2θ 44.85, rel. 969
2θ 53.39, rel. 317


4.
This entry pairs a crystal structure of BiPtPb3 with its computed powder XRD pattern. Radiation: λ = 1.5418 Å (Cu Kα). Structure: a cell relaxed with PBE.

Structural model:
Lattice parameters (Å, degrees): 11.6146 11.6146 4.1792 90.00 90.00 90.00
Space group P4_2/mnm (No. 136)
Symmetry-distinct sites (fractional):
Bi (0.2037, 0.2037, 0.0000) [4 per cell]
Pt (0.0860, 0.0860, 0.5000) [4 per cell]
Pb (0.0037, 0.3292, 0.5000) [8 per cell]
Pb (0.1036, 0.8964, 0.0000) [4 per cell]

Principal peaks in the range 2θ from 15° to 90°, sorted by position:
2θ 30.52, rel. 184
2θ 31.50, rel. 1000
2θ 32.45, rel. 575
2θ 32.71, rel. 352
2θ 34.54, rel. 255
2θ 39.56, rel. 305
2θ 40.91, rel. 285
2θ 43.30, rel. 273
2θ 55.31, rel. 164
2θ 60.08, rel. 200


5.
This entry pairs a crystal structure of Bi12Pt4Pb with its computed powder XRD pattern. Radiation: λ = 1.5418 Å (Cu Kα). Structure: a cell relaxed with PBE.

Structural model:
Lattice parameters (Å, degrees): 10.0162 10.0162 10.0162 90.00 90.00 90.00
Space group Im-3 (No. 204)
Symmetry-distinct sites (fractional):
Bi (0.0000, 0.1574, 0.3358) [24 per cell]
Pt (0.2500, 0.2500, 0.2500) [8 per cell]
Pb (0.0000, 0.0000, 0.0000) [2 per cell]

Principal peaks in the range 2θ from 15° to 90°, sorted by position:
2θ 28.17, rel. 1000
2θ 33.47, rel. 481
2θ 40.27, rel. 293
2θ 44.30, rel. 378
2θ 46.22, rel. 278
2θ 53.33, rel. 186
2θ 62.94, rel. 207
2θ 71.77, rel. 94
2θ 81.55, rel. 198
2θ 82.92, rel. 110


6.
This entry pairs a crystal structure of Sr2BiPt4Pb3 with its computed powder XRD pattern. Radiation: λ = 1.5418 Å (Cu Kα). Structure: a cell relaxed with PBE.

Structural model:
Lattice parameters (Å, degrees): 4.9428 4.9428 10.6890 90.00 90.00 90.00
Space group P-4m2 (No. 115)
Symmetry-distinct sites (fractional):
Sr (0.0000, 0.5000, 0.2335) [2 per cell]
Bi (0.0000, 0.0000, 0.5000) [1 per cell]
Pt (0.0000, 0.0000, 0.0000) [1 per cell]
Pt (0.0000, 0.5000, 0.6280) [2 per cell]
Pt (0.5000, 0.5000, 0.0000) [1 per cell]
Pb (0.0000, 0.5000, 0.8822) [2 per cell]
Pb (0.5000, 0.5000, 0.5000) [1 per cell]

Principal peaks in the range 2θ from 15° to 90°, sorted by position:
2θ 16.59, rel. 442
2θ 19.79, rel. 402
2θ 30.56, rel. 905
2θ 30.94, rel. 552
2θ 36.35, rel. 1000
2θ 42.59, rel. 841
2θ 48.46, rel. 322
2θ 52.35, rel. 358
2θ 69.69, rel. 404
2θ 81.99, rel. 315